Calculated powder X-ray diffraction pattern of H6RuCI3N for Cu Kα (λ = 1.5418 Å), from the PBE geometry in the Materials Project.

Cell: 8.258 8.299 11.665 Å, 90.11 90.12 90.55°
Positions (direct):
H1 0.000 0.000 0.000
H2 0.005 0.811 0.691
H3 0.020 0.026 0.692
H4 0.044 0.806 0.002
H5 0.107 0.039 0.192
H6 0.133 0.812 0.502
H7 0.148 0.011 0.503
H8 0.158 0.830 0.195
H9 0.192 0.944 0.004
H10 0.200 0.907 0.694
H11 0.450 0.393 0.691
H12 0.451 0.381 0.191
H13 0.490 0.504 0.002
H14 0.499 0.501 0.499
H15 0.537 0.306 0.503
H16 0.539 0.310 0.999
H17 0.601 0.538 0.193
H18 0.610 0.540 0.690
H19 0.657 0.330 0.695
H20 0.662 0.332 0.191
H21 0.683 0.453 0.002
H22 0.690 0.439 0.503
H23 0.950 0.888 0.189
H24 0.966 0.924 0.500
Ru1 0.064 0.417 0.873
Ru2 0.069 0.414 0.374
Ru3 0.580 0.915 0.873
Ru4 0.603 0.917 0.372
C1 0.073 0.918 0.162
C2 0.076 0.915 0.662
C3 0.572 0.418 0.162
C4 0.573 0.420 0.662
I1 0.068 0.413 0.630
I2 0.076 0.419 0.116
I3 0.314 0.176 0.373
I4 0.316 0.654 0.375
I5 0.336 0.674 0.867
I6 0.341 0.152 0.870
I7 0.575 0.916 0.130
I8 0.593 0.918 0.617
I9 0.819 0.674 0.874
I10 0.821 0.158 0.876
I11 0.833 0.171 0.369
I12 0.834 0.656 0.369
N1 0.079 0.916 0.036
N2 0.080 0.915 0.535
N3 0.572 0.420 0.035
N4 0.576 0.415 0.535

Principal peaks in the range 2θ from 10° to 90°, sorted by position:
2theta  I/Imax
15.1  438
15.2  927
26.4  787
26.5  265
30.4  544
30.7  1000
43.7  538
43.9  350

Calculated powder X-ray diffraction pattern of SnH5CI3N2 for Cu Kα (λ = 1.5418 Å), from the PBE geometry in the Materials Project.

Cell: 6.555 6.318 6.318 Å, 87.41 90.00 90.00°
Positions (direct):
Sn1 0.000 0.000 0.000
H1 0.194 0.474 0.474
H2 0.308 0.647 0.647
H3 0.500 0.349 0.349
H4 0.692 0.647 0.647
H5 0.806 0.474 0.474
C1 0.500 0.469 0.469
I1 0.000 0.013 0.511
I2 0.000 0.511 0.013
I3 0.500 0.003 0.003
N1 0.323 0.536 0.536
N2 0.677 0.536 0.536

Principal peaks in the range 2θ from 10° to 90°, sorted by position:
2theta  I/Imax
13.5  464
14.0  681
23.7  421
24.5  405
27.2  458
28.3  1000
30.7  366
39.6  669

Calculated powder X-ray diffraction pattern of SnH6CI3N for Cu Kα (λ = 1.5418 Å), from the PBE geometry in the Materials Project.

Cell: 9.057 9.058 12.557 Å, 89.16 88.95 89.49°
Positions (direct):
Sn1 0.000 0.000 0.000
Sn2 0.002 0.003 0.500
Sn3 0.500 0.506 0.000
Sn4 0.501 0.503 0.500
H1 0.010 0.605 0.124
H2 0.024 0.399 0.631
H3 0.079 0.574 0.623
H4 0.087 0.437 0.128
H5 0.100 0.556 0.303
H6 0.112 0.477 0.803
H7 0.400 0.040 0.129
H8 0.405 0.037 0.624
H9 0.420 0.929 0.308
H10 0.424 0.924 0.806
H11 0.468 0.117 0.803
H12 0.478 0.118 0.304
H13 0.521 0.900 0.128
H14 0.536 0.905 0.627
H15 0.580 0.073 0.122
H16 0.582 0.082 0.627
H17 0.613 0.982 0.804
H18 0.614 0.973 0.303
H19 0.900 0.537 0.627
H20 0.903 0.570 0.305
H21 0.905 0.456 0.128
H22 0.921 0.428 0.809
H23 0.973 0.619 0.804
H24 0.992 0.391 0.308
C1 0.002 0.507 0.777
C2 0.501 0.007 0.776
C3 0.504 0.006 0.276
C4 0.998 0.504 0.277
I1 0.001 0.004 0.757
I2 0.002 0.001 0.256
I3 0.247 0.240 0.503
I4 0.247 0.745 0.502
I5 0.249 0.257 0.005
I6 0.255 0.756 0.001
I7 0.502 0.503 0.757
I8 0.502 0.504 0.257
I9 0.740 0.748 0.504
I10 0.750 0.251 0.005
I11 0.752 0.251 0.505
I12 0.756 0.750 0.002
N1 0.000 0.501 0.158
N2 0.001 0.504 0.658
N3 0.501 0.004 0.157
N4 0.505 0.007 0.657

Principal peaks in the range 2θ from 10° to 90°, sorted by position:
2theta  I/Imax
13.8  807
13.9  790
14.1  887
24.0  796
24.4  759
27.7  1000
28.0  981
28.4  825

Calculated powder X-ray diffraction pattern of SnH6CI3N for Cu Kα (λ = 1.5418 Å), from the PBE geometry in the Materials Project.

Cell: 8.505 13.156 9.149 Å, 90.00 90.00 90.00°
Positions (direct):
Sn1 0.000 0.000 0.000
Sn2 0.000 0.500 0.000
Sn3 0.500 0.000 0.500
Sn4 0.500 0.500 0.500
H1 0.005 0.186 0.358
H2 0.005 0.314 0.358
H3 0.007 0.181 0.619
H4 0.007 0.319 0.619
H5 0.160 0.750 0.451
H6 0.163 0.250 0.424
H7 0.337 0.750 0.924
H8 0.340 0.250 0.951
H9 0.493 0.681 0.119
H10 0.493 0.819 0.119
H11 0.495 0.686 0.858
H12 0.495 0.814 0.858
H13 0.505 0.186 0.142
H14 0.505 0.314 0.142
H15 0.507 0.181 0.881
H16 0.507 0.319 0.881
H17 0.660 0.750 0.049
H18 0.663 0.250 0.076
H19 0.837 0.750 0.576
H20 0.840 0.250 0.549
H21 0.993 0.681 0.381
H22 0.993 0.819 0.381
H23 0.995 0.686 0.642
H24 0.995 0.814 0.642
C1 0.032 0.750 0.438
C2 0.468 0.250 0.938
C3 0.532 0.750 0.062
C4 0.968 0.250 0.562
I1 0.042 0.750 0.011
I2 0.186 0.522 0.695
I3 0.186 0.978 0.695
I4 0.314 0.022 0.195
I5 0.314 0.478 0.195
I6 0.458 0.250 0.511
I7 0.542 0.750 0.489
I8 0.686 0.522 0.805
I9 0.686 0.978 0.805
I10 0.814 0.022 0.305
I11 0.814 0.478 0.305
I12 0.958 0.250 0.989
N1 0.040 0.250 0.414
N2 0.460 0.750 0.914
N3 0.540 0.250 0.086
N4 0.960 0.750 0.586

Principal peaks in the range 2θ from 10° to 90°, sorted by position:
2theta  I/Imax
13.5  719
14.2  1000
26.8  454
27.1  864
28.7  875
31.2  531
39.9  658
43.2  484